(1)
Structure and simulated XRD peak list of LiAcP2 (the GGA-PBE geometry in Alexandria; Cu Kα (λ = 1.5418 Å)).

Most intense lines, 10° ≤ 2θ ≤ 90°, by intensity:
2θ/deg	I (rel.)
19.2	100.0
19.7	75.3
27.6	69.1
24.5	57.2
29.7	55.5
40.3	51.1
31.6	50.3
20.3	46.4
28.4	44.1
34.2	38.5

Atomic structure:
Unit cell a=4.506 b=4.506 c=18.501 alpha=90.00 beta=90.00 gamma=90.00
Space group P4_1 (No. 76)
Inequivalent atoms, fractional coordinates:
Li (0.071, 0.175, 0.000) [4 per cell]
Ac (0.372, 0.375, 0.390) [4 per cell]
P (0.135, 0.432, 0.771) [4 per cell]
P (0.138, 0.161, 0.872) [4 per cell]

---

(2)
Structure and simulated XRD peak list of LiAcP2Pt8 (the GGA-PBE geometry in Alexandria; Cu Kα (λ = 1.5418 Å)).

Most intense lines, 10° ≤ 2θ ≤ 90°, by intensity:
2θ/deg	I (rel.)
38.2	100.0
32.9	24.7
43.1	22.7
40.7	15.4
19.1	15.2
21.5	14.9
56.9	14.5
22.6	14.4
18.3	13.7
52.6	12.1

Atomic structure:
Unit cell a=9.320 b=5.693 c=8.414 alpha=90.00 beta=94.34 gamma=90.00
Space group C2/m (No. 12)
Inequivalent atoms, fractional coordinates:
Li (0.000, 0.000, 0.000) [2 per cell]
Ac (0.000, 0.000, 0.500) [2 per cell]
P (0.007, 0.500, 0.268) [4 per cell]
Pt (0.138, 0.500, 0.956) [4 per cell]
Pt (0.152, 0.500, 0.525) [4 per cell]
Pt (0.193, 0.243, 0.235) [8 per cell]

---

(3)
Structure and simulated XRD peak list of LiAcP2Rh5 (the GGA-PBE geometry in Alexandria; Cu Kα (λ = 1.5418 Å)).

Most intense lines, 10° ≤ 2θ ≤ 90°, by intensity:
2θ/deg	I (rel.)
31.6	100.0
30.0	49.7
42.9	46.3
51.1	43.2
53.2	39.3
36.2	38.3
84.7	21.0
62.3	19.5
71.6	18.9
70.7	16.9

Atomic structure:
Unit cell a=4.215 b=4.215 c=8.936 alpha=90.00 beta=90.00 gamma=90.00
Space group P4/mmm (No. 123)
Inequivalent atoms, fractional coordinates:
Li (0.000, 0.000, 0.000) [1 per cell]
Ac (0.000, 0.000, 0.500) [1 per cell]
P (0.500, 0.500, 0.245) [2 per cell]
Rh (0.000, 0.500, 0.153) [4 per cell]
Rh (0.500, 0.500, 0.500) [1 per cell]

---

(4)
Structure and simulated XRD peak list of LiAcPS4 (the GGA-PBE geometry in Alexandria; Cu Kα (λ = 1.5418 Å)).

Most intense lines, 10° ≤ 2θ ≤ 90°, by intensity:
2θ/deg	I (rel.)
17.5	100.0
32.2	60.6
29.8	51.7
18.8	37.6
35.5	25.7
49.2	24.2
37.3	22.2
38.2	20.5
42.3	16.4
46.5	15.5

Atomic structure:
Unit cell a=6.668 b=6.668 c=7.754 alpha=90.00 beta=90.00 gamma=90.00
Space group I-4 (No. 82)
Inequivalent atoms, fractional coordinates:
Li (0.000, 0.000, 0.000) [2 per cell]
Ac (0.000, 0.000, 0.500) [2 per cell]
P (0.000, 0.500, 0.750) [2 per cell]
S (0.185, 0.755, 0.837) [8 per cell]

---

(5)
Structure and simulated XRD peak list of LiAc2PaSe6 (the GGA-PBE geometry in Alexandria; Cu Kα (λ = 1.5418 Å)).

Most intense lines, 10° ≤ 2θ ≤ 90°, by intensity:
2θ/deg	I (rel.)
35.0	100.0
28.8	94.9
24.5	85.0
14.2	78.7
24.0	76.9
44.3	65.3
15.5	58.0
34.7	56.4
31.5	54.5
36.5	54.1

Atomic structure:
Unit cell a=7.066 b=7.889 c=12.273 alpha=90.00 beta=123.36 gamma=90.00
Space group P2_1/c (No. 14)
Inequivalent atoms, fractional coordinates:
Li (0.000, 0.000, 0.000) [2 per cell]
Ac (0.212, 0.098, 0.748) [4 per cell]
Pa (0.500, 0.000, 0.500) [2 per cell]
Se (0.122, 0.183, 0.444) [4 per cell]
Se (0.268, 0.692, 0.442) [4 per cell]
Se (0.361, 0.031, 0.243) [4 per cell]

---

(6)
Structure and simulated XRD peak list of LiAc2Pb8 (the GGA-PBE geometry in Alexandria; Cu Kα (λ = 1.5418 Å)).

Most intense lines, 10° ≤ 2θ ≤ 90°, by intensity:
2θ/deg	I (rel.)
32.0	100.0
35.7	55.3
28.3	52.1
49.4	35.5
61.9	31.7
33.0	26.8
60.5	23.9
83.3	20.3
51.4	20.1
62.5	17.9

Atomic structure:
Unit cell a=5.028 b=5.028 c=13.556 alpha=90.00 beta=90.00 gamma=90.00
Space group P4/mmm (No. 123)
Inequivalent atoms, fractional coordinates:
Li (0.000, 0.000, 0.000) [1 per cell]
Ac (0.000, 0.000, 0.312) [2 per cell]
Pb (0.000, 0.500, 0.122) [4 per cell]
Pb (0.000, 0.500, 0.500) [2 per cell]
Pb (0.500, 0.500, 0.307) [2 per cell]

---

(7)
Structure and simulated XRD peak list of Li3AcPb2 (the GGA-PBE geometry in Alexandria; Cu Kα (λ = 1.5418 Å)).

Most intense lines, 10° ≤ 2θ ≤ 90°, by intensity:
2θ/deg	I (rel.)
24.4	100.0
30.4	63.9
31.5	60.9
31.9	51.0
25.0	44.2
38.0	42.3
31.1	41.6
26.5	40.5
27.3	28.2
48.2	27.4

Atomic structure:
Unit cell a=18.383 b=4.731 c=7.192 alpha=90.00 beta=110.67 gamma=90.00
Space group C2/m (No. 12)
Inequivalent atoms, fractional coordinates:
Li (0.073, 0.000, 0.096) [4 per cell]
Li (0.155, 0.500, 0.003) [4 per cell]
Li (0.185, 0.500, 0.381) [4 per cell]
Ac (0.121, 0.000, 0.634) [4 per cell]
Pb (0.010, 0.500, 0.244) [4 per cell]
Pb (0.233, 0.000, 0.206) [4 per cell]

---

(8)
Structure and simulated XRD peak list of Li4Ac3Pb4 (the GGA-PBE geometry in Alexandria; Cu Kα (λ = 1.5418 Å)).

Most intense lines, 10° ≤ 2θ ≤ 90°, by intensity:
2θ/deg	I (rel.)
27.3	100.0
29.4	83.6
48.1	31.1
34.4	28.2
37.2	27.0
24.4	24.5
38.4	23.2
19.1	20.3
32.9	20.2
52.5	18.0

Atomic structure:
Unit cell a=4.687 b=4.837 c=14.342 alpha=80.35 beta=80.60 gamma=90.00
Space group P-1 (No. 2)
Inequivalent atoms, fractional coordinates:
Li (0.098, 0.099, 0.302) [2 per cell]
Li (0.250, 0.749, 0.001) [2 per cell]
Ac (0.345, 0.345, 0.810) [2 per cell]
Ac (0.500, 0.000, 0.500) [1 per cell]
Pb (0.057, 0.556, 0.390) [2 per cell]
Pb (0.195, 0.195, 0.109) [2 per cell]